Entry 1:
Diffraction record for K2EuNb5O15. The X-ray diffraction stick pattern is theoretical, not measured: it uses DFT lattice parameters and positions (GGA-PBE) and copper Kα.
Lines closer than 0.1° are merged.

Top 8 peaks for 2θ = 10–90°, by angle:
- 6.373 Å, 13.9°, I 42
- 3.535 Å, 25.2°, I 41
- 3.258 Å, 27.4°, I 34
- 3.091 Å, 28.9°, I 49
- 2.979 Å, 30.0°, I 35
- 2.850 Å, 31.4°, I 49
- 2.829 Å, 31.6°, I 100
- 1.641 Å, 56.0°, I 46

Atomic structure:
a = 12.7462 Å, b = 12.7462 Å, c = 3.9707 Å
α = 90.00°, β = 90.00°, γ = 90.00°
Positions (direct):
K1 0.1694 0.3306 0.0000
K2 0.3306 0.8306 0.0000
K3 0.6694 0.1694 0.0000
K4 0.8306 0.6694 0.0000
Eu1 0.0000 0.0000 0.0000
Eu2 0.5000 0.5000 0.0000
Nb1 0.0000 0.5000 0.5000
Nb2 0.0743 0.7858 0.5000
Nb3 0.2142 0.0743 0.5000
Nb4 0.2858 0.5743 0.5000
Nb5 0.4257 0.2858 0.5000
Nb6 0.5000 0.0000 0.5000
Nb7 0.5743 0.7142 0.5000
Nb8 0.7142 0.4257 0.5000
Nb9 0.7858 0.9257 0.5000
Nb10 0.9257 0.2142 0.5000
O1 0.0000 0.5000 0.0000
O2 0.0040 0.3433 0.5000
O3 0.0649 0.1315 0.5000
O4 0.0683 0.8023 0.0000
O5 0.1315 0.9351 0.5000
O6 0.1567 0.4960 0.5000
O7 0.1977 0.0683 0.0000
O8 0.2136 0.7136 0.5000
O9 0.2864 0.2136 0.5000
O10 0.3023 0.5683 0.0000
O11 0.3433 0.9960 0.5000
O12 0.3685 0.4351 0.5000
O13 0.4317 0.3023 0.0000
O14 0.4351 0.6315 0.5000
O15 0.4960 0.8433 0.5000
O16 0.5000 0.0000 0.0000
O17 0.5040 0.1567 0.5000
O18 0.5649 0.3685 0.5000
O19 0.5683 0.6977 0.0000
O20 0.6315 0.5649 0.5000
O21 0.6567 0.0040 0.5000
O22 0.6977 0.4317 0.0000
O23 0.7136 0.7864 0.5000
O24 0.7864 0.2864 0.5000
O25 0.8023 0.9317 0.0000
O26 0.8433 0.5040 0.5000
O27 0.8685 0.0649 0.5000
O28 0.9317 0.1977 0.0000
O29 0.9351 0.8685 0.5000
O30 0.9960 0.6567 0.5000

=====

Entry 2:
Diffraction record for KEuNb2O6. The X-ray diffraction stick pattern is theoretical, not measured: it uses DFT lattice parameters and positions (GGA-PBE) and copper Kα.
Lines closer than 0.1° are merged.

Top 8 peaks for 2θ = 10–90°, by angle:
- 4.699 Å, 18.9°, I 21
- 2.877 Å, 31.1°, I 100
- 2.454 Å, 36.6°, I 13
- 2.035 Å, 44.5°, I 34
- 1.661 Å, 55.3°, I 39
- 1.439 Å, 64.8°, I 20
- 1.287 Å, 73.6°, I 17
- 1.175 Å, 82.0°, I 7

Atomic structure:
a = 5.7547 Å, b = 5.7547 Å, c = 5.7547 Å
α = 60.00°, β = 60.00°, γ = 60.00°
Positions (direct):
K1 0.0000 0.0000 0.0000
Eu1 0.5000 0.5000 0.5000
Nb1 0.2500 0.2500 0.2500
Nb2 0.7500 0.7500 0.7500
O1 0.0000 0.0000 0.5000
O2 0.0000 0.5000 0.0000
O3 0.0000 0.5000 0.5000
O4 0.5000 0.0000 0.0000
O5 0.5000 0.0000 0.5000
O6 0.5000 0.5000 0.0000

=====

Entry 3:
Diffraction record for KEuO2. The X-ray diffraction stick pattern is theoretical, not measured: it uses DFT lattice parameters and positions (GGA-PBE) and copper Kα.
Lines closer than 0.1° are merged.

Top 8 peaks for 2θ = 10–90°, by angle:
- 6.251 Å, 14.2°, I 86
- 3.126 Å, 28.6°, I 32
- 3.065 Å, 29.1°, I 36
- 2.949 Å, 30.3°, I 74
- 2.590 Å, 34.6°, I 100
- 1.871 Å, 48.7°, I 33
- 1.794 Å, 50.9°, I 32
- 1.556 Å, 59.4°, I 24

Atomic structure:
a = 3.5877 Å, b = 3.5877 Å, c = 18.7545 Å
α = 90.00°, β = 90.00°, γ = 120.00°
Positions (direct):
K1 0.0000 0.0000 0.0000
K2 0.3333 0.6667 0.6667
K3 0.6667 0.3333 0.3333
Eu1 0.0000 0.0000 0.5000
Eu2 0.3333 0.6667 0.1667
Eu3 0.6667 0.3333 0.8333
O1 0.0000 0.0000 0.2300
O2 0.0000 0.0000 0.7700
O3 0.3333 0.6667 0.4367
O4 0.3333 0.6667 0.8967
O5 0.6667 0.3333 0.1033
O6 0.6667 0.3333 0.5633

=====

Entry 4:
Diffraction record for K2Eu2O3. The X-ray diffraction stick pattern is theoretical, not measured: it uses DFT lattice parameters and positions (GGA-PBE) and copper Kα.
Lines closer than 0.1° are merged.

Top 8 peaks for 2θ = 10–90°, by angle:
- 6.243 Å, 14.2°, I 27
- 4.713 Å, 18.8°, I 100
- 3.260 Å, 27.4°, I 29
- 3.077 Å, 29.0°, I 93
- 3.018 Å, 29.6°, I 47
- 2.876 Å, 31.1°, I 27
- 2.861 Å, 31.3°, I 38
- 2.559 Å, 35.1°, I 29

Atomic structure:
a = 7.0385 Å, b = 7.1519 Å, c = 7.0831 Å
α = 90.00°, β = 117.51°, γ = 90.00°
Positions (direct):
K1 0.1752 0.1471 0.4264
K2 0.1752 0.3529 0.9264
K3 0.8248 0.6471 0.0736
K4 0.8248 0.8529 0.5736
Eu1 0.3296 0.6237 0.5696
Eu2 0.3296 0.8763 0.0696
Eu3 0.6704 0.1237 0.9304
Eu4 0.6704 0.3763 0.4304
O1 0.0000 0.0000 0.0000
O2 0.0000 0.5000 0.5000
O3 0.4013 0.6029 0.2719
O4 0.4013 0.8971 0.7719
O5 0.5987 0.1029 0.2281
O6 0.5987 0.3971 0.7281

=====

Entry 5:
Diffraction record for KEuP4O12. The X-ray diffraction stick pattern is theoretical, not measured: it uses DFT lattice parameters and positions (GGA-PBE) and copper Kα.
Lines closer than 0.1° are merged.

Top 8 peaks for 2θ = 10–90°, by angle:
- 5.915 Å, 15.0°, I 87
- 5.600 Å, 15.8°, I 62
- 5.382 Å, 16.5°, I 63
- 3.402 Å, 26.2°, I 100
- 3.361 Å, 26.5°, I 80
- 3.331 Å, 26.8°, I 57
- 3.162 Å, 28.2°, I 73
- 3.098 Å, 28.8°, I 65

Atomic structure:
a = 7.3796 Å, b = 8.6060 Å, c = 8.1466 Å
α = 90.00°, β = 91.81°, γ = 90.00°
Positions (direct):
K1 0.2264 0.0000 0.2812
K2 0.7736 0.5000 0.7188
Eu1 0.2646 0.6925 0.7568
Eu2 0.7354 0.1925 0.2432
P1 0.0648 0.0702 0.8998
P2 0.1228 0.4395 0.3958
P3 0.3968 0.2702 0.8939
P4 0.4988 0.0453 0.6191
P5 0.5012 0.5453 0.3809
P6 0.6032 0.7702 0.1061
P7 0.8772 0.9395 0.6042
P8 0.9352 0.5702 0.1002
O1 0.0387 0.2865 0.3497
O2 0.0468 0.5747 0.2720
O3 0.0610 0.6018 0.9619
O4 0.1116 0.4988 0.5676
O5 0.1825 0.9277 0.9244
O6 0.1867 0.2227 0.8694
O7 0.3303 0.9461 0.6139
O8 0.3322 0.4316 0.3439
O9 0.4149 0.4305 0.8236
O10 0.4623 0.2400 0.0684
O11 0.4706 0.6448 0.5289
O12 0.4914 0.6494 0.2169
O13 0.5086 0.1494 0.7831
O14 0.5294 0.1448 0.4711
O15 0.5377 0.7400 0.9316
O16 0.5851 0.9305 0.1764
O17 0.6678 0.9316 0.6561
O18 0.6697 0.4461 0.3861
O19 0.8133 0.7227 0.1306
O20 0.8175 0.4277 0.0756
O21 0.8884 0.9988 0.4324
O22 0.9390 0.1018 0.0381
O23 0.9532 0.0747 0.7280
O24 0.9613 0.7865 0.6503

=====

Entry 6:
Diffraction record for K3EuP2O8. The X-ray diffraction stick pattern is theoretical, not measured: it uses DFT lattice parameters and positions (GGA-PBE) and copper Kα.
Lines closer than 0.1° are merged.

Top 8 peaks for 2θ = 10–90°, by angle:
- 7.556 Å, 11.7°, I 100
- 4.943 Å, 17.9°, I 39
- 4.116 Å, 21.6°, I 77
- 3.014 Å, 29.6°, I 80
- 2.986 Å, 29.9°, I 82
- 2.874 Å, 31.1°, I 64
- 2.814 Å, 31.8°, I 76
- 2.058 Å, 44.0°, I 37

Atomic structure:
a = 7.5577 Å, b = 5.7487 Å, c = 9.6841 Å
α = 90.00°, β = 91.23°, γ = 90.00°
Positions (direct):
K1 0.0066 0.2500 0.1922
K2 0.1425 0.7500 0.4114
K3 0.3001 0.2500 0.9149
K4 0.6999 0.7500 0.0851
K5 0.8575 0.2500 0.5886
K6 0.9934 0.7500 0.8078
Eu1 0.4941 0.7500 0.7099
Eu2 0.5059 0.2500 0.2901
P1 0.2654 0.7500 0.0880
P2 0.3086 0.2500 0.5719
P3 0.6914 0.7500 0.4281
P4 0.7346 0.2500 0.9120
O1 0.0629 0.7500 0.1039
O2 0.2145 0.2500 0.4266
O3 0.2553 0.0291 0.6549
O4 0.2553 0.4709 0.6549
O5 0.3174 0.7500 0.9330
O6 0.3461 0.5279 0.1580
O7 0.3461 0.9721 0.1580
O8 0.4894 0.7500 0.4534
O9 0.5106 0.2500 0.5466
O10 0.6539 0.0279 0.8420
O11 0.6539 0.4721 0.8420
O12 0.6826 0.2500 0.0670
O13 0.7447 0.5291 0.3451
O14 0.7447 0.9709 0.3451
O15 0.7855 0.7500 0.5734
O16 0.9371 0.2500 0.8961

=====

Entry 7:
Diffraction record for KEuPO4. The X-ray diffraction stick pattern is theoretical, not measured: it uses DFT lattice parameters and positions (GGA-PBE) and copper Kα.
Lines closer than 0.1° are merged.

Top 8 peaks for 2θ = 10–90°, by angle:
- 4.877 Å, 18.2°, I 64
- 3.304 Å, 27.0°, I 37
- 2.984 Å, 29.9°, I 24
- 2.955 Å, 30.2°, I 100
- 2.815 Å, 31.8°, I 65
- 2.146 Å, 42.1°, I 30
- 2.046 Å, 44.3°, I 21
- 2.038 Å, 44.5°, I 26

Atomic structure:
a = 7.4269 Å, b = 5.6225 Å, c = 9.7768 Å
α = 90.00°, β = 90.00°, γ = 90.00°
Positions (direct):
K1 0.1575 0.2500 0.0816
K2 0.3425 0.7500 0.5816
K3 0.6575 0.2500 0.4184
K4 0.8425 0.7500 0.9184
Eu1 0.0029 0.2500 0.6949
Eu2 0.4971 0.7500 0.1949
Eu3 0.5029 0.2500 0.8051
Eu4 0.9971 0.7500 0.3051
P1 0.2249 0.2500 0.4151
P2 0.2751 0.7500 0.9151
P3 0.7249 0.2500 0.0849
P4 0.7751 0.7500 0.5849
O1 0.0163 0.2500 0.4271
O2 0.1919 0.7500 0.0624
O3 0.2138 0.5222 0.8366
O4 0.2138 0.9778 0.8366
O5 0.2862 0.0222 0.3366
O6 0.2862 0.4778 0.3366
O7 0.3081 0.2500 0.5624
O8 0.4837 0.7500 0.9271
O9 0.5163 0.2500 0.0729
O10 0.6919 0.7500 0.4376
O11 0.7138 0.5222 0.6634
O12 0.7138 0.9778 0.6634
O13 0.7862 0.0222 0.1634
O14 0.7862 0.4778 0.1634
O15 0.8081 0.2500 0.9376
O16 0.9837 0.7500 0.5729

=====

Entry 8:
Diffraction record for KEuPdO3. The X-ray diffraction stick pattern is theoretical, not measured: it uses DFT lattice parameters and positions (GGA-PBE) and copper Kα.
Lines closer than 0.1° are merged.

Top 8 peaks for 2θ = 10–90°, by angle:
- 7.376 Å, 12.0°, I 96
- 2.913 Å, 30.7°, I 69
- 2.891 Å, 30.9°, I 48
- 2.798 Å, 32.0°, I 40
- 2.754 Å, 32.5°, I 100
- 2.135 Å, 42.3°, I 22
- 1.992 Å, 45.5°, I 24
- 1.668 Å, 55.1°, I 17

Atomic structure:
a = 6.9181 Å, b = 6.9181 Å, c = 7.6294 Å
α = 104.18°, β = 104.18°, γ = 33.47°
Positions (direct):
K1 0.1446 0.1446 0.0649
K2 0.8554 0.8554 0.9351
Eu1 0.1510 0.1510 0.5756
Eu2 0.8490 0.8490 0.4244
Pd1 0.4927 0.4927 0.7188
Pd2 0.5073 0.5073 0.2812
O1 0.0063 0.0063 0.3162
O2 0.3296 0.3296 0.6303
O3 0.3480 0.3480 0.2278
O4 0.6520 0.6520 0.7722
O5 0.6704 0.6704 0.3697
O6 0.9937 0.9937 0.6838